(1)
Computed PXRD pattern of Ac2PuCo2 for a wavelength of 1.5418 Å, from a DFT-relaxed cell (PBE, Alexandria).
No peak broadening, texture or thermal motion is included.

Cell and atoms:
```
data_Ac2PuCo2
_cell_length_a 6.788
_cell_length_b 6.788
_cell_length_c 11.152
_cell_angle_alpha 119.16
_cell_angle_beta 119.16
_cell_angle_gamma 35.64
_space_group_name_H-M_alt 'P 1'
_space_group_IT_number 1
loop_
_space_group_symop_operation_xyz
'x,y,z'
loop_
_atom_site_label
_atom_site_type_symbol
_atom_site_fract_x
_atom_site_fract_y
_atom_site_fract_z
Ac1 Ac 0.022 0.022 0.187
Ac2 Ac 0.171 0.171 0.589
Ac3 Ac 0.829 0.829 0.411
Ac4 Ac 0.978 0.978 0.813
Pu1 Pu 0.279 0.279 0.128
Pu2 Pu 0.721 0.721 0.872
Co1 Co 0.376 0.376 0.945
Co2 Co 0.473 0.473 0.380
Co3 Co 0.527 0.527 0.620
Co4 Co 0.624 0.624 0.055
```

Largest 10 diffraction maxima, by angle, 2θ = 5–70°:
d_spacing  intensity
3.326  32.3
3.128  52.9
2.976  62.6
2.926  73.5
2.786  100.0
2.776  38.7
2.650  69.7
2.420  54.4
2.077  49.5
1.690  32.0

=====

(2)
Computed PXRD pattern of TaOsI2 for a wavelength of 1.5418 Å, from a DFT-relaxed cell (PBE, Alexandria).
No peak broadening, texture or thermal motion is included.

Cell and atoms:
```
data_TaOsI2
_cell_length_a 4.824
_cell_length_b 4.824
_cell_length_c 4.824
_cell_angle_alpha 60.00
_cell_angle_beta 60.00
_cell_angle_gamma 60.00
_space_group_name_H-M_alt 'P 1'
_space_group_IT_number 1
loop_
_space_group_symop_operation_xyz
'x,y,z'
loop_
_atom_site_label
_atom_site_type_symbol
_atom_site_fract_x
_atom_site_fract_y
_atom_site_fract_z
Ta1 Ta 0.000 0.000 0.000
Os1 Os 0.500 0.500 0.500
I1 I 0.250 0.250 0.250
I2 I 0.750 0.750 0.750
```

Largest 6 diffraction maxima, by angle, 2θ = 5–70°:
d_spacing  intensity
3.411  4.1
2.412  100.0
1.970  1.3
1.706  17.5
1.526  1.9
1.393  35.7

=====

(3)
Computed PXRD pattern of LaPbIO6 for a wavelength of 1.5418 Å, from a DFT-relaxed cell (PBE, Alexandria).
No peak broadening, texture or thermal motion is included.

Cell and atoms:
```
data_LaPbIO6
_cell_length_a 5.946
_cell_length_b 5.946
_cell_length_c 9.738
_cell_angle_alpha 90.00
_cell_angle_beta 90.00
_cell_angle_gamma 120.00
_space_group_name_H-M_alt 'P 1'
_space_group_IT_number 1
loop_
_space_group_symop_operation_xyz
'x,y,z'
loop_
_atom_site_label
_atom_site_type_symbol
_atom_site_fract_x
_atom_site_fract_y
_atom_site_fract_z
La1 La 0.333 0.667 0.250
La2 La 0.667 0.333 0.750
Pb1 Pb 0.000 0.000 0.000
Pb2 Pb 0.000 0.000 0.500
I1 I 0.333 0.667 0.750
I2 I 0.667 0.333 0.250
O1 O 0.064 0.403 0.639
O2 O 0.064 0.661 0.861
O3 O 0.339 0.403 0.861
O4 O 0.339 0.936 0.639
O5 O 0.403 0.064 0.139
O6 O 0.403 0.339 0.361
O7 O 0.597 0.661 0.639
O8 O 0.597 0.936 0.861
O9 O 0.661 0.064 0.361
O10 O 0.661 0.597 0.139
O11 O 0.936 0.339 0.139
O12 O 0.936 0.597 0.361
```

Largest 10 diffraction maxima, by angle, 2θ = 5–70°:
d_spacing  intensity
3.538  100.0
2.973  50.7
2.435  7.6
2.276  29.7
1.884  37.9
1.807  30.1
1.716  14.8
1.548  8.9
1.403  10.7
1.370  12.5